Sr2TmBr: calculated powder diffractogram (λ = 1.5418 Å (Cu Kα)), based on a structure optimized by DFT (GGA-PBE).
No peak broadening, texture or thermal motion is included.

Crystal structure
```
data_Sr2TmBr
_space_group_name_H-M_alt 'R -3 m'
_space_group_IT_number 166
_space_group_name_Hall '-R 3 2"'
_cell_length_a 3.8645
_cell_length_b 3.8645
_cell_length_c 35.6257
_cell_angle_alpha 90.00
_cell_angle_beta 90.00
_cell_angle_gamma 120.00
loop_
_atom_site_label
_atom_site_fract_x
_atom_site_fract_y
_atom_site_fract_z
Sr1 0.0000 0.0000 0.1002
Tm1 0.0000 0.0000 0.0000
Br1 0.0000 0.0000 0.5000
```

Most intense lines, 5° ≤ 2θ ≤ 70°, in order of falling intensity:
| index | 2θ (°) | I (rel.) |
| --- | --- | --- |
| 0 1 2 | 27.11 | 100 |
| 1 0 10 | 36.85 | 87 |
| 0 1 8 | 33.49 | 58 |
| 1 0 1 | 26.75 | 58 |
| 1 1 0 | 47.03 | 43 |
| 0 0 9 | 22.46 | 30 |
| 0 0 12 | 30.10 | 25 |
| 1 1 12 | 56.85 | 25 |
| 0 1 20 | 58.72 | 22 |
| 0 1 11 | 38.69 | 22 |

---

Tb4ZnRh: calculated powder diffractogram (λ = 1.5418 Å (Cu Kα)), based on a structure optimized by DFT (GGA-PBE).
No peak broadening, texture or thermal motion is included.

Crystal structure
```
data_Tb4ZnRh
_space_group_name_H-M_alt 'F -4 3 m'
_space_group_IT_number 216
_space_group_name_Hall 'F -4 2 3'
_cell_length_a 13.457
_cell_length_b 13.457
_cell_length_c 13.457
_cell_angle_alpha 90.00
_cell_angle_beta 90.00
_cell_angle_gamma 90.00
loop_
_atom_site_label
_atom_site_fract_x
_atom_site_fract_y
_atom_site_fract_z
Tb1 0.000 0.000 0.186
Tb2 0.059 0.250 0.750
Tb3 0.104 0.104 0.396
Zn1 0.171 0.171 0.171
Rh1 0.107 0.107 0.607
```

Most intense lines, 5° ≤ 2θ ≤ 70°, in order of falling intensity:
| index | 2θ (°) | I (rel.) |
| --- | --- | --- |
| 5 1 1 | 34.64 | 100 |
| 4 2 2 | 32.60 | 49 |
| 6 6 0 | 58.17 | 45 |
| 4 4 0 | 37.82 | 36 |
| 3 3 1 | 28.92 | 33 |
| 5 5 5 | 59.49 | 14 |
| 9 3 3 | 69.50 | 14 |
| 7 3 3 | 55.93 | 12 |
| 5 5 3 | 52.21 | 9 |
| 5 5 1 | 48.30 | 7 |

---

LiTh2Te6: calculated powder diffractogram (λ = 1.5418 Å (Cu Kα)), based on a structure optimized by DFT (GGA-PBE).
No peak broadening, texture or thermal motion is included.

Crystal structure
```
data_LiTh2Te6
_space_group_name_H-M_alt 'P 42/m n m'
_space_group_IT_number 136
_space_group_name_Hall '-P 4n 2n'
_cell_length_a 7.284
_cell_length_b 7.284
_cell_length_c 13.212
_cell_angle_alpha 90.00
_cell_angle_beta 90.00
_cell_angle_gamma 90.00
loop_
_atom_site_label
_atom_site_fract_x
_atom_site_fract_y
_atom_site_fract_z
Li1 0.000 0.000 0.000
Th1 0.000 0.000 0.327
Te1 0.203 0.203 0.151
Te2 0.208 0.208 0.500
```

Most intense lines, 5° ≤ 2θ ≤ 70°, in order of falling intensity:
| index | 2θ (°) | I (rel.) |
| --- | --- | --- |
| 1 1 3 | 26.63 | 100 |
| 2 1 3 | 34.24 | 89 |
| 1 1 0 | 17.22 | 81 |
| 3 0 3 | 42.52 | 63 |
| 2 2 0 | 34.84 | 53 |
| 1 0 1 | 13.88 | 32 |
| 2 1 0 | 27.38 | 31 |
| 2 2 6 | 54.85 | 25 |
| 3 1 3 | 44.38 | 23 |
| 0 0 6 | 40.99 | 22 |